This entry pairs a crystal structure of K8NO3 with its calculated XRD peak list. Radiation: copper Kα. Structure: the GGA-PBE geometry in the Materials Project.
Neutral-atom scattering factors, no anomalous dispersion.

Most intense lines, 5° ≤ 2θ ≤ 70°, low angle first:
| (hkl) | 2theta | I (rel.) |
| --- | --- | --- |
| 1 1 1 | 23.5 | 8 |
| 2 0 0 | 27.2 | 64 |
| 2 2 0 | 38.9 | 100 |
| 3 1 1 | 45.9 | 3 |
| 2 2 2 | 48.1 | 16 |
| 4 0 0 | 56.1 | 14 |
| 3 3 1 | 61.7 | 1 |
| 4 2 0 | 63.5 | 19 |

Cell and atoms:
```
data_K8NO3
_cell_length_a 6.5555
_cell_length_b 6.5555
_cell_length_c 6.5555
_cell_angle_alpha 90.00
_cell_angle_beta 90.00
_cell_angle_gamma 90.00
_symmetry_space_group_name_H-M 'P m -3 m'
_symmetry_Int_Tables_number 221
_symmetry_space_group_name_Hall '-P 4 2 3'
loop_
_atom_site_label
_atom_site_type_symbol
_atom_site_fract_x
_atom_site_fract_y
_atom_site_fract_z
_atom_site_occupancy
K1 K 0.2465 0.2465 0.2465 1
N1 N 0.5000 0.5000 0.5000 1
O1 O 0.0000 0.0000 0.5000 1
```